# 1
Diffraction record for MgHg2Br6O6. The powder XRD pattern is computed, not measured: it uses the GGA-PBE geometry in Alexandria and Cu Kα (λ = 1.5418 Å).

Cell and atoms:
```
MgHg2Br6O6
1.0
10.1205 -3.3569 0.0000
10.1205 3.3569 0.0000
-9.0586 0.0000 10.3719
Mg Hg Br O
2 4 12 12
direct
0.1486 0.8514 0.7500 Mg
0.8514 0.1486 0.2500 Mg
0.2506 0.5440 0.1954 Hg
0.4560 0.7494 0.3046 Hg
0.5440 0.2506 0.6954 Hg
0.7494 0.4560 0.8046 Hg
0.0525 0.3833 0.3486 Br
0.0919 0.4166 0.1446 Br
0.2352 0.7321 0.9923 Br
0.2679 0.7648 0.5077 Br
0.3833 0.0525 0.8486 Br
0.4166 0.0919 0.6446 Br
0.5834 0.9081 0.3554 Br
0.6167 0.9475 0.1514 Br
0.7321 0.2352 0.4923 Br
0.7648 0.2679 0.0077 Br
0.9081 0.5834 0.8554 Br
0.9475 0.6167 0.6514 Br
0.0573 0.6529 0.6256 O
0.0938 0.8685 0.5740 O
0.1315 0.9062 0.9260 O
0.1448 0.8552 0.2500 O
0.3471 0.9427 0.8744 O
0.4426 0.5574 0.7500 O
0.5574 0.4426 0.2500 O
0.6529 0.0573 0.1256 O
0.8552 0.1448 0.7500 O
0.8685 0.0938 0.0740 O
0.9062 0.1315 0.4260 O
0.9427 0.3471 0.3744 O
```

Top 12 peaks for 10 to 80 degrees two-theta, in order of rising 2θ:
d 6.882, 12.86 deg, I 32; d 6.034, 14.68 deg, I 51; d 5.186, 17.10 deg, I 26; d 5.034, 17.62 deg, I 29; d 4.611, 19.25 deg, I 29; d 3.377, 26.39 deg, I 28; d 3.357, 26.55 deg, I 29; d 3.195, 27.92 deg, I 100; d 3.172, 28.13 deg, I 90; d 2.676, 33.49 deg, I 35; d 2.655, 33.76 deg, I 44; d 2.352, 38.26 deg, I 31

# 2
Diffraction record for Ac2SiBiO6. The powder XRD pattern is computed, not measured: it uses the GGA-PBE geometry in Alexandria and Cu Kα (λ = 1.5418 Å).

Cell and atoms:
```
Ac2SiBiO6
1.0
5.6832 0.0000 0.0000
0.0000 5.6832 0.0000
0.0000 0.0000 4.9577
Ac Si Bi O
2 1 1 6
direct
0.0000 0.5000 0.0000 Ac
0.5000 0.0000 0.0000 Ac
0.0000 0.0000 0.5917 Si
0.5000 0.5000 0.5285 Bi
0.0000 0.0000 0.2552 O
0.2120 0.2120 0.7014 O
0.2120 0.7880 0.7014 O
0.5000 0.5000 0.0434 O
0.7880 0.2120 0.7014 O
0.7880 0.7880 0.7014 O
```

Top 12 peaks for 10 to 80 degrees two-theta, in order of rising 2θ:
d 5.683, 15.59 deg, I 12; d 4.958, 17.89 deg, I 9; d 3.736, 23.82 deg, I 9; d 3.122, 28.59 deg, I 100; d 2.842, 31.48 deg, I 39; d 2.479, 36.24 deg, I 12; d 2.009, 45.12 deg, I 20; d 1.868, 48.75 deg, I 27; d 1.690, 54.29 deg, I 35; d 1.561, 59.19 deg, I 12; d 1.528, 60.58 deg, I 11; d 1.216, 78.65 deg, I 11

# 3
Diffraction record for Na2HgS. The powder XRD pattern is computed, not measured: it uses the GGA-PBE geometry in Alexandria and Cu Kα (λ = 1.5418 Å).

Cell and atoms:
```
Na2HgS
1.0
2.2412 1.2939 6.3853
-2.2412 1.2939 6.3853
0.0000 -2.5879 6.3853
Na Hg S
2 1 1
direct
0.2172 0.2172 0.2172 Na
0.7828 0.7828 0.7828 Na
0.0000 0.0000 0.0000 Hg
0.5000 0.5000 0.5000 S
```

Top 12 peaks for 10 to 80 degrees two-theta, in order of rising 2θ:
d 6.385, 13.87 deg, I 46; d 3.804, 23.38 deg, I 76; d 3.598, 24.75 deg, I 78; d 3.193, 27.95 deg, I 26; d 3.016, 29.62 deg, I 100; d 2.727, 32.85 deg, I 47; d 2.240, 40.25 deg, I 58; d 2.115, 42.76 deg, I 21; d 2.038, 44.45 deg, I 24; d 1.834, 49.70 deg, I 32; d 1.799, 50.75 deg, I 22; d 1.403, 66.67 deg, I 19

# 4
Diffraction record for VOsPt. The powder XRD pattern is computed, not measured: it uses the GGA-PBE geometry in Alexandria and Cu Kα (λ = 1.5418 Å).

Cell and atoms:
```
VOsPt
1.0
4.1100 -2.3795 0.0000
4.1100 2.3795 0.0000
-2.7388 0.0000 4.3937
V Os Pt
2 2 2
direct
0.1643 0.1643 0.4913 V
0.8357 0.8357 0.5087 V
0.3322 0.6678 0.0000 Os
0.4985 0.5015 0.5000 Os
0.6649 0.0008 0.9991 Pt
0.9992 0.3351 0.0009 Pt
```

Top 12 peaks for 10 to 80 degrees two-theta, in order of rising 2θ:
d 4.394, 20.21 deg, I 16; d 3.929, 22.63 deg, I 8; d 3.491, 25.51 deg, I 7; d 2.572, 34.88 deg, I 3; d 2.376, 37.86 deg, I 31; d 2.197, 41.09 deg, I 25; d 2.090, 43.29 deg, I 100; d 1.613, 57.10 deg, I 19; d 1.373, 68.32 deg, I 11; d 1.370, 68.49 deg, I 5; d 1.310, 72.07 deg, I 2; d 1.247, 76.39 deg, I 19

# 5
Diffraction record for CsK. The powder XRD pattern is computed, not measured: it uses the GGA-PBE geometry in Alexandria and Cu Kα (λ = 1.5418 Å).

Cell and atoms:
```
CsK
1.0
-3.2850 3.2850 18.0115
3.2850 -3.2850 18.0115
3.2850 3.2850 -18.0115
Cs K
4 4
direct
0.0751 0.3251 0.7500 Cs
0.3251 0.0751 0.2500 Cs
0.6749 0.9249 0.7500 Cs
0.9249 0.6749 0.2500 Cs
0.2105 0.4605 0.7500 K
0.4605 0.2105 0.2500 K
0.5395 0.7895 0.7500 K
0.7895 0.5395 0.2500 K
```

Top 12 peaks for 10 to 80 degrees two-theta, in order of rising 2θ:
d 5.764, 15.37 deg, I 17; d 4.855, 18.27 deg, I 38; d 4.499, 19.73 deg, I 100; d 4.051, 21.94 deg, I 34; d 3.674, 24.22 deg, I 21; d 3.285, 27.15 deg, I 35; d 2.849, 31.40 deg, I 24; d 2.721, 32.92 deg, I 18; d 2.654, 33.78 deg, I 19; d 2.552, 35.16 deg, I 30; d 2.064, 43.86 deg, I 28; d 2.016, 44.97 deg, I 19

# 6
Diffraction record for Fe2AgI8. The powder XRD pattern is computed, not measured: it uses the GGA-PBE geometry in Alexandria and Cu Kα (λ = 1.5418 Å).

Cell and atoms:
```
Fe2AgI8
1.0
6.0497 -6.1072 0.0000
6.0497 6.1072 0.0000
-1.1002 0.0000 6.8544
Fe Ag I
2 1 8
direct
0.2074 0.2074 0.1749 Fe
0.7926 0.7926 0.8251 Fe
0.0000 0.0000 0.5000 Ag
0.0563 0.7138 0.7148 I
0.2130 0.2130 0.8123 I
0.2862 0.9437 0.2852 I
0.4181 0.4181 0.2911 I
0.5819 0.5819 0.7089 I
0.7138 0.0563 0.7148 I
0.7870 0.7870 0.1877 I
0.9437 0.2862 0.2852 I
```

Top 12 peaks for 10 to 80 degrees two-theta, in order of rising 2θ:
d 8.541, 10.36 deg, I 26; d 6.107, 14.50 deg, I 50; d 4.187, 21.22 deg, I 27; d 3.854, 23.08 deg, I 25; d 3.824, 23.26 deg, I 100; d 3.429, 25.99 deg, I 47; d 3.121, 28.60 deg, I 49; d 3.057, 29.21 deg, I 20; d 2.629, 34.11 deg, I 24; d 2.592, 34.60 deg, I 30; d 2.061, 43.94 deg, I 36; d 2.037, 44.49 deg, I 26

# 7
Diffraction record for Be2IBr. The powder XRD pattern is computed, not measured: it uses the GGA-PBE geometry in Alexandria and Cu Kα (λ = 1.5418 Å).

Cell and atoms:
```
Be2IBr
1.0
-3.3518 3.3518 3.6649
3.3518 -3.3518 3.6649
3.3518 3.3518 -3.6649
Be I Br
4 2 2
direct
0.1113 0.6250 0.9863 Be
0.3750 0.3613 0.4863 Be
0.6387 0.1250 0.0137 Be
0.8750 0.8887 0.5137 Be
0.2500 0.7500 0.5000 I
0.5000 0.5000 0.0000 I
0.0000 0.0000 0.0000 Br
0.7500 0.2500 0.5000 Br
```

Top 12 peaks for 10 to 80 degrees two-theta, in order of rising 2θ:
d 4.947, 17.93 deg, I 8; d 3.352, 26.59 deg, I 64; d 2.899, 30.84 deg, I 100; d 2.775, 32.26 deg, I 4; d 2.370, 37.96 deg, I 31; d 1.894, 48.04 deg, I 1; d 1.835, 49.69 deg, I 57; d 1.676, 54.77 deg, I 11; d 1.608, 57.30 deg, I 18; d 1.499, 61.90 deg, I 12; d 1.450, 64.22 deg, I 22; d 1.237, 77.09 deg, I 20

# 8
Diffraction record for Li3B8C8. The powder XRD pattern is computed, not measured: it uses the GGA-PBE geometry in Alexandria and Cu Kα (λ = 1.5418 Å).

Cell and atoms:
```
Li3B8C8
1.0
2.7331 0.0000 0.0000
-1.3665 2.3669 0.0000
0.0000 0.0000 24.4884
Li B C
3 8 8
direct
0.0000 0.0000 0.0000 Li
0.0000 0.0000 0.1471 Li
0.0000 0.0000 0.8529 Li
0.3333 0.6667 0.2193 B
0.3333 0.6667 0.4325 B
0.3333 0.6667 0.6474 B
0.3333 0.6667 0.9275 B
0.6667 0.3333 0.0725 B
0.6667 0.3333 0.3526 B
0.6667 0.3333 0.5675 B
0.6667 0.3333 0.7807 B
0.3333 0.6667 0.0721 C
0.3333 0.6667 0.3511 C
0.3333 0.6667 0.5657 C
0.3333 0.6667 0.7833 C
0.6667 0.3333 0.2167 C
0.6667 0.3333 0.4343 C
0.6667 0.3333 0.6489 C
0.6667 0.3333 0.9279 C
```

Top 12 peaks for 10 to 80 degrees two-theta, in order of rising 2θ:
d 6.122, 14.47 deg, I 62; d 4.898, 18.11 deg, I 76; d 4.081, 21.78 deg, I 62; d 3.498, 25.46 deg, I 100; d 3.061, 29.17 deg, I 40; d 2.721, 32.92 deg, I 47; d 2.367, 38.02 deg, I 71; d 2.048, 44.24 deg, I 34; d 1.960, 46.31 deg, I 57; d 1.872, 48.63 deg, I 25; d 1.749, 52.30 deg, I 49; d 1.367, 68.69 deg, I 64

# 9
Diffraction record for Pr2DyTc2N6. The powder XRD pattern is computed, not measured: it uses the GGA-PBE geometry in Alexandria and Cu Kα (λ = 1.5418 Å).

Cell and atoms:
```
Pr2DyTc2N6
1.0
2.8863 1.6664 5.9852
-2.8863 1.6664 5.9852
0.0000 -3.3328 5.9852
Pr Dy Tc N
2 1 2 6
direct
0.2090 0.2090 0.2090 Pr
0.7910 0.7910 0.7910 Pr
0.0000 0.0000 0.0000 Dy
0.4001 0.4001 0.4001 Tc
0.5999 0.5999 0.5999 Tc
0.2267 0.7415 0.7415 N
0.2585 0.2585 0.7733 N
0.2585 0.7733 0.2585 N
0.7415 0.2267 0.7415 N
0.7415 0.7415 0.2267 N
0.7733 0.2585 0.2585 N
```

Top 12 peaks for 10 to 80 degrees two-theta, in order of rising 2θ:
d 3.340, 26.69 deg, I 5; d 2.917, 30.65 deg, I 100; d 2.886, 30.98 deg, I 97; d 2.184, 41.34 deg, I 5; d 2.052, 44.15 deg, I 42; d 1.690, 54.28 deg, I 20; d 1.672, 54.91 deg, I 41; d 1.666, 55.11 deg, I 19; d 1.458, 63.83 deg, I 10; d 1.443, 64.58 deg, I 15; d 1.302, 72.64 deg, I 16; d 1.293, 73.17 deg, I 16

# 10
Diffraction record for Ac2HgIrO8. The powder XRD pattern is computed, not measured: it uses the GGA-PBE geometry in Alexandria and Cu Kα (λ = 1.5418 Å).

Cell and atoms:
```
Ac2HgIrO8
1.0
4.2982 0.0000 0.0000
0.3812 5.4213 0.0000
0.0444 0.5998 7.6426
Ac Hg Ir O
2 1 1 8
direct
0.1813 0.0018 0.2503 Ac
0.8187 0.9982 0.7497 Ac
0.5000 0.5000 0.0000 Hg
0.5000 0.5000 0.5000 Ir
0.2357 0.4601 0.3074 O
0.2450 0.7879 0.5564 O
0.2656 0.8364 0.9477 O
0.2800 0.2847 0.6546 O
0.7200 0.7153 0.3454 O
0.7344 0.1636 0.0523 O
0.7550 0.2121 0.4436 O
0.7643 0.5399 0.6926 O
```

Top 12 peaks for 10 to 80 degrees two-theta, in order of rising 2θ:
d 3.739, 23.80 deg, I 43; d 3.480, 25.60 deg, I 43; d 3.245, 27.49 deg, I 100; d 3.011, 29.67 deg, I 50; d 2.853, 31.36 deg, I 50; d 2.702, 33.15 deg, I 40; d 2.190, 41.22 deg, I 16; d 1.948, 46.62 deg, I 21; d 1.911, 47.59 deg, I 16; d 1.869, 48.72 deg, I 27; d 1.681, 54.58 deg, I 16; d 1.621, 56.79 deg, I 17